For U3Al12Ru4, a PBE-relaxed structure gives the simulated powder XRD pattern in this record (Cu Kα X-rays).

Most intense lines, 5 to 70 degrees two-theta, in order of rising 2θ:
index, 2θ/deg, d/Å, intensity
1 0 1, 14.92, 5.937, 74
2 0 1, 25.15, 3.541, 61
2 0 2, 30.10, 2.969, 79
2 1 0, 30.96, 2.888, 32
3 0 1, 36.51, 2.461, 100
2 0 3, 37.03, 2.428, 56
0 0 4, 38.17, 2.358, 30
2 2 0, 40.91, 2.206, 50

Atomic structure:
```
U3Al12Ru4
1.0
8.8239 0.0000 0.0000
-4.4120 7.6418 0.0000
0.0000 0.0000 9.4310
U Al Ru
6 24 8
Cartesian
0.0000 3.0954 2.3578 U
-1.7313 6.0940 2.3578 U
2.6807 1.5477 7.0733 U
1.7313 6.0940 2.3578 U
6.1432 1.5477 7.0733 U
4.4120 4.5463 7.0733 U
0.0000 0.0000 2.3578 Al
0.0000 0.0000 7.0733 Al
-1.3903 4.2918 7.0733 Al
0.0000 2.4552 5.4763 Al
0.0000 2.4552 8.6703 Al
-2.2857 6.4142 5.4763 Al
-2.2857 6.4142 8.6703 Al
2.1263 1.2276 0.7608 Al
2.1263 1.2276 3.9547 Al
0.0000 5.0945 0.1222 Al
0.0000 5.0945 4.5933 Al
1.3903 4.2918 7.0733 Al
0.0000 6.6998 7.0733 Al
4.4120 0.9419 2.3578 Al
3.0217 3.3499 2.3578 Al
4.4120 2.5472 4.8377 Al
4.4120 2.5472 9.3089 Al
2.2857 6.4142 5.4763 Al
2.2857 6.4142 8.6703 Al
6.6977 1.2276 0.7608 Al
6.6977 1.2276 3.9547 Al
4.4120 5.1865 0.7608 Al
4.4120 5.1865 3.9547 Al
5.8022 3.3499 2.3578 Al
0.0000 0.0000 0.0000 Ru
0.0000 0.0000 4.7155 Ru
-2.2060 3.8209 0.0000 Ru
-2.2060 3.8209 4.7155 Ru
4.4120 0.0000 0.0000 Ru
4.4120 0.0000 4.7155 Ru
2.2060 3.8209 0.0000 Ru
2.2060 3.8209 4.7155 Ru
```